1.
Starting from a DFT-relaxed cell (PBE, Alexandria), the XRD peak list of ZrPt7 was calculated for Cu Kα, 1.54184 Å.
Kinematic intensities with the Lorentz-polarization factor, no thermal factor.

The 12 most intense peaks (2θ = 10–90°), sorted by position:
two_theta  intensity  h k l
19.14  3  1 1 1
22.13  1  2 0 0
31.50  1  2 2 0
37.12  2  3 1 1
38.83  100  2 2 2
45.15  49  4 0 0
49.45  1  3 3 1
50.83  1  4 2 0
59.82  1  5 1 1
65.76  32  4 4 0
79.07  39  6 2 2
83.34  11  4 4 4

Cell lengths 8.033, 8.033, 8.033 Å; angles 90.00, 90.00, 90.00 degrees
Space group Fm-3m (No. 225)
Symmetry-distinct sites (fractional):
Zr: 0.000 0.000 0.000
Pt: 0.000 0.000 0.500
Pt: 0.000 0.250 0.250

---

2.
Starting from a DFT-relaxed cell (PBE, Alexandria), the XRD peak list of ZrPt2 was calculated for Cu Kα, 1.54184 Å.
Kinematic intensities with the Lorentz-polarization factor, no thermal factor.

The 12 most intense peaks (2θ = 10–90°), sorted by position:
two_theta  intensity  h k l
37.66  100  0 1 3
37.98  99  2 1 0
43.26  37  0 2 0
44.30  59  2 0 3
63.64  42  2 2 3
64.88  8  4 0 0
75.63  13  0 3 3
75.83  13  2 3 0
76.90  18  2 1 6
77.51  19  4 1 3
80.40  9  0 2 6
81.21  9  4 2 0

Cell lengths 5.749, 4.183, 8.729 Å; angles 90.00, 90.00, 90.00 degrees
Space group Pnma (No. 62)
Symmetry-distinct sites (fractional):
Zr: 0.158 0.250 0.105
Pt: 0.122 0.250 0.765
Pt: 0.148 0.250 0.428

---

3.
Starting from a DFT-relaxed cell (PBE, Alexandria), the XRD peak list of ZrPt7 was calculated for Cu Kα, 1.54184 Å.
Kinematic intensities with the Lorentz-polarization factor, no thermal factor.

The 12 most intense peaks (2θ = 10–90°), sorted by position:
two_theta  intensity  h k l
10.94  2  0 0 2
22.88  2  1 0 1
33.53  1  1 1 2
35.67  1  1 0 5
38.82  100  1 1 4
44.81  17  0 0 8
45.29  33  2 0 0
65.60  22  2 0 8
65.98  11  2 2 0
78.57  13  1 1 12
79.27  26  3 1 4
83.31  11  2 2 8

Cell lengths 4.005, 4.005, 16.182 Å; angles 90.00, 90.00, 90.00 degrees
Space group I4/mmm (No. 139)
Symmetry-distinct sites (fractional):
Zr: 0.000 0.000 0.000
Pt: 0.000 0.000 0.255
Pt: 0.000 0.000 0.500
Pt: 0.000 0.500 0.124

---

4.
Starting from a DFT-relaxed cell (PBE, Alexandria), the XRD peak list of Zr9Pt11 was calculated for Cu Kα, 1.54184 Å.
Kinematic intensities with the Lorentz-polarization factor, no thermal factor.

The 12 most intense peaks (2θ = 10–90°), sorted by position:
two_theta  intensity  h k l
26.87  8  0 1 -2
27.07  10  0 2 1
37.63  100  0 1 3
37.80  69  2 3 2
39.43  29  0 3 -1
40.24  9  3 2 1
43.86  8  3 2 0
53.21  9  4 2 2
55.39  8  0 2 -4
55.82  8  0 4 2
67.77  7  2 1 6
68.05  7  2 4 5

Cell lengths 6.885, 8.021, 8.296 Å; angles 78.71, 65.54, 64.60 degrees
Space group P-1 (No. 2)
Symmetry-distinct sites (fractional):
Zr: 0.000 0.000 0.000
Zr: 0.090 0.230 0.590
Zr: 0.251 0.330 0.169
Zr: 0.300 0.600 0.798
Zr: 0.414 0.829 0.342
Pt: 0.017 0.892 0.658
Pt: 0.098 0.338 0.884
Pt: 0.285 0.500 0.499
Pt: 0.321 0.662 0.116
Pt: 0.433 0.892 0.658
Pt: 0.500 0.000 0.000

---

5.
Starting from a DFT-relaxed cell (PBE, Alexandria), the XRD peak list of Zr4Pt was calculated for Cu Kα, 1.54184 Å.
Kinematic intensities with the Lorentz-polarization factor, no thermal factor.

The 12 most intense peaks (2θ = 10–90°), sorted by position:
two_theta  intensity  h k l
15.94  16  1 1 0
22.62  5  2 0 0
36.13  48  3 1 0
36.64  100  1 2 1
52.02  17  2 4 0
53.53  8  0 0 2
65.30  31  5 0 1
66.29  16  3 1 2
76.66  5  6 2 0
77.89  10  2 4 2
87.80  7  5 5 0
88.10  7  3 6 1

Cell lengths 7.862, 7.862, 3.424 Å; angles 90.00, 90.00, 90.00 degrees
Space group I4/m (No. 87)
Symmetry-distinct sites (fractional):
Zr: 0.089 0.715 0.000
Pt: 0.000 0.000 0.500

---

6.
Starting from a DFT-relaxed cell (PBE, Alexandria), the XRD peak list of ZrPt3 was calculated for Cu Kα, 1.54184 Å.
Kinematic intensities with the Lorentz-polarization factor, no thermal factor.

The 12 most intense peaks (2θ = 10–90°), sorted by position:
two_theta  intensity  h k l
21.55  2  0 0 2
24.58  7  1 0 1
38.38  100  1 1 2
39.68  2  1 0 3
43.91  17  0 0 4
44.96  32  2 0 0
51.90  2  2 1 1
64.66  22  2 0 4
65.47  11  2 2 0
77.02  13  1 1 6
78.52  26  3 1 2
82.21  11  2 2 4

Cell lengths 4.032, 4.032, 8.247 Å; angles 90.00, 90.00, 90.00 degrees
Space group I4/mmm (No. 139)
Symmetry-distinct sites (fractional):
Zr: 0.000 0.000 0.000
Pt: 0.000 0.000 0.500
Pt: 0.000 0.500 0.250

---

7.
Starting from a DFT-relaxed cell (PBE, Alexandria), the XRD peak list of ZrPt3 was calculated for Cu Kα, 1.54184 Å.
Kinematic intensities with the Lorentz-polarization factor, no thermal factor.

The 12 most intense peaks (2θ = 10–90°), sorted by position:
two_theta  intensity  h k l
21.69  2  0 0 4
22.68  4  1 0 1
31.33  2  1 1 0
35.26  2  1 0 5
38.42  100  1 1 4
44.20  17  0 0 8
44.89  32  2 0 0
64.83  22  2 0 8
65.36  11  2 2 0
77.45  13  1 1 12
78.45  25  3 1 4
82.31  11  2 2 8

Cell lengths 4.038, 4.038, 16.392 Å; angles 90.00, 90.00, 90.00 degrees
Space group I4/mmm (No. 139)
Symmetry-distinct sites (fractional):
Zr: 0.000 0.000 0.128
Pt: 0.000 0.000 0.378
Pt: 0.000 0.500 0.000
Pt: 0.000 0.500 0.250

---

8.
Starting from a DFT-relaxed cell (PBE, Alexandria), the XRD peak list of Pu was calculated for Cu Kα, 1.54184 Å.
Kinematic intensities with the Lorentz-polarization factor, no thermal factor.

The 12 most intense peaks (2θ = 10–90°), sorted by position:
two_theta  intensity  h k l
32.52  100  1 1 1
41.05  54  0 2 2
49.15  33  1 1 3
51.54  14  0 0 4
57.29  21  1 3 1
58.40  20  2 0 2
62.15  16  2 2 0
66.77  7  0 4 0
69.43  12  1 3 3
73.97  10  1 1 5
84.89  14  2 2 4
85.40  7  3 1 1

Cell lengths 3.530, 5.604, 7.093 Å; angles 90.00, 90.00, 90.00 degrees
Space group Fddd (No. 70, origin choice 2)
Symmetry-distinct sites (fractional):
Pu: 0.125 0.125 0.125

---

9.
Starting from a DFT-relaxed cell (PBE, Alexandria), the XRD peak list of Pu was calculated for Cu Kα, 1.54184 Å.
Kinematic intensities with the Lorentz-polarization factor, no thermal factor.

The 12 most intense peaks (2θ = 10–90°), sorted by position:
two_theta  intensity  h k l
26.88  38  0 0 2
28.28  83  0 1 1
28.84  33  1 1 0
29.18  100  2 0 0
34.17  42  1 0 2
36.91  90  0 1 2
42.40  43  2 1 -2
45.18  50  3 0 -2
48.36  57  0 1 3
50.49  38  2 1 -3
51.52  38  3 1 0
52.86  60  0 2 1

Cell lengths 6.377, 3.589, 6.910 Å; angles 90.00, 106.29, 90.00 degrees
Space group P2_1/c (No. 14)
Symmetry-distinct sites (fractional):
Pu: 0.059 0.122 0.360
Pu: 0.426 0.109 0.328

---

10.
Starting from a DFT-relaxed cell (PBE, Alexandria), the XRD peak list of Pu was calculated for Cu Kα, 1.54184 Å.
Kinematic intensities with the Lorentz-polarization factor, no thermal factor.

The 12 most intense peaks (2θ = 10–90°), sorted by position:
two_theta  intensity  h k l
30.90  87  1 0 -1
32.58  51  1 -1 0
33.92  82  1 1 -1
34.63  61  1 0 1
35.94  45  1 -1 1
40.24  87  0 2 -1
41.06  100  0 0 2
41.18  31  -1 1 1
45.38  40  1 1 1
54.62  36  0 2 1
58.28  34  2 1 0
62.90  27  0 2 -3

Cell lengths 3.504, 4.519, 4.737 Å; angles 110.90, 95.95, 90.35 degrees
Space group P-1 (No. 2)
Symmetry-distinct sites (fractional):
Pu: 0.081 0.340 0.246
Pu: 0.359 0.840 0.250

---

11.
Starting from a DFT-relaxed cell (PBE, Alexandria), the XRD peak list of Pu was calculated for Cu Kα, 1.54184 Å.
Kinematic intensities with the Lorentz-polarization factor, no thermal factor.

The 12 most intense peaks (2θ = 10–90°), sorted by position:
two_theta  intensity  h k l
32.03  49  0 1 3
33.20  59  1 1 -3
33.42  43  2 0 1
33.64  38  0 0 4
35.49  54  2 0 -3
39.04  78  2 1 1
39.23  29  0 1 4
39.52  27  1 1 -4
39.81  100  0 2 0
54.39  33  2 2 -3
55.09  28  2 1 4
64.58  25  0 1 7

Cell lengths 5.977, 4.528, 10.894 Å; angles 90.00, 101.96, 90.00 degrees
Space group P2_1/m (No. 11)
Symmetry-distinct sites (fractional):
Pu: 0.019 0.250 0.118
Pu: 0.107 0.250 0.827
Pu: 0.135 0.750 0.609
Pu: 0.250 0.750 0.330
Pu: 0.302 0.250 0.428
Pu: 0.335 0.250 0.659
Pu: 0.350 0.750 0.037
Pu: 0.443 0.250 0.137

---

12.
Starting from a DFT-relaxed cell (PBE, Alexandria), the XRD peak list of Pu was calculated for Cu Kα, 1.54184 Å.
Kinematic intensities with the Lorentz-polarization factor, no thermal factor.

The 12 most intense peaks (2θ = 10–90°), sorted by position:
two_theta  intensity  h k l
33.97  20  2 0 0
34.21  91  1 1 1
34.94  57  0 0 2
38.35  100  2 0 1
45.47  18  1 2 0
51.98  19  3 0 0
58.59  17  1 2 2
62.19  17  1 1 3
64.16  21  3 0 2
64.92  22  2 0 3
74.63  18  3 1 2
81.71  20  3 2 1

Cell lengths 6.0945, 6.0945, 5.1366 Å; angles 90.00, 90.00, 120.00 degrees
Space group P6_3/m (No. 176)
Symmetry-distinct sites (fractional):
Pu: 0.0793 0.7359 0.2500
Pu: 0.3333 0.6667 0.7500